For Ni2AgF6, a GGA+U-relaxed structure gives the simulated PXRD pattern in this record (Cu Ka).

Atomic structure:
```
18
Lattice="4.8027 0.0000 0.0000 0.0000 4.8027 0.0000 0.0000 0.0000 9.9166" Properties=species:S:1:pos:R:3 pbc="T T T"
Ni 0.0000 0.0000 1.6757
Ni 0.0000 0.0000 8.2409
Ni 2.4014 2.4014 3.2826
Ni 2.4014 2.4014 6.6340
Ag 0.0000 0.0000 4.9583
Ag 2.4014 2.4014 0.0000
F 0.8737 0.8737 0.0000
F 0.9856 0.9856 3.1518
F 0.9856 0.9856 6.7648
F 1.4158 3.3870 1.8065
F 1.4158 3.3870 8.1101
F 1.5276 3.2751 4.9583
F 3.2751 1.5276 4.9583
F 3.3870 1.4158 1.8065
F 3.3870 1.4158 8.1101
F 3.8171 3.8171 3.1518
F 3.8171 3.8171 6.7648
F 3.9290 3.9290 0.0000
```

Most intense lines, 5 to 70 degrees two-theta, by angle:
2theta	Rel. int.
26.2	100.0
32.9	70.5
50.7	67.8
54.0	18.3
62.5	15.2
64.7	22.2


For Ni4AgF8, a GGA+U-relaxed structure gives the simulated PXRD pattern in this record (Cu Ka).

Atomic structure:
```
13
Lattice="0.0000 4.5245 4.5245 4.5245 0.0000 4.5245 4.5245 4.5245 0.0000" Properties=species:S:1:pos:R:3 pbc="T T T"
Ni 1.1084 1.1084 1.1084
Ni 3.4161 3.4161 1.1084
Ni 3.4161 1.1084 3.4161
Ni 1.1084 3.4161 3.4161
Ag 4.5245 4.5245 4.5245
F 8.0986 5.4748 5.4748
F 3.1780 3.1780 3.1780
F 5.8709 5.8709 3.1780
F 5.8709 3.1780 5.8709
F 5.4748 8.0986 5.4748
F 5.4748 5.4748 8.0986
F 8.0986 8.0986 8.0986
F 3.1780 5.8709 5.8709
```

Most intense lines, 5 to 70 degrees two-theta, by angle:
2theta	Rel. int.
17.0	48.4
19.6	27.3
27.9	26.4
32.8	100.0
52.6	48.5
57.6	45.2


For Ni3Ag5F12, a GGA+U-relaxed structure gives the simulated PXRD pattern in this record (Cu Ka).

Atomic structure:
```
20
Lattice="9.9632 0.0000 0.0000 -4.9816 8.6284 0.0000 0.0000 0.0000 3.1380" Properties=species:S:1:pos:R:3 pbc="T T T"
Ni -3.2995 5.7149 0.0000
Ni 1.6821 2.9134 0.0000
Ni 6.5990 0.0000 0.0000
Ag -1.3841 2.3973 1.5690
Ag 2.7681 0.0000 1.5690
Ag 0.0000 5.7523 1.5690
Ag 4.9816 2.8761 1.5690
Ag 3.5975 6.2311 1.5690
F -2.6586 4.6049 1.5690
F -3.9784 6.8909 1.5690
F 1.0032 1.7375 1.5690
F -0.1098 3.8421 0.0000
F -1.5993 6.8025 0.0000
F 3.3823 1.8259 0.0000
F 2.3230 4.0235 1.5690
F 5.3173 0.0000 1.5690
F 1.7092 6.6122 0.0000
F 4.8717 4.7863 0.0000
F 6.6907 2.0162 0.0000
F 7.9569 0.0000 1.5690
```

Most intense lines, 5 to 70 degrees two-theta, by angle:
2theta	Rel. int.
20.6	37.3
27.3	40.0
31.1	100.0
33.8	84.4
39.9	65.9
57.0	40.6